(1)
Simulated XRD peak list
Compound: Sr3Sn2H
Radiation: Cu Kα, 1.54184 Å
Structure: a structure optimized by DFT (PBE)

Atomic structure:
```
Sr3Sn2H
1.0
6.3950 -3.4369 0.0000
6.3950 3.4369 0.0000
-1.7285 0.0000 8.8643
Sr Sn H
6 4 2
direct
0.1213 0.8787 0.7500 Sr
0.2362 0.4781 0.3424 Sr
0.4781 0.2362 0.8424 Sr
0.5219 0.7638 0.1576 Sr
0.7638 0.5219 0.6576 Sr
0.8787 0.1213 0.2500 Sr
0.0394 0.2858 0.0070 Sn
0.2858 0.0394 0.5070 Sn
0.7142 0.9606 0.4930 Sn
0.9606 0.7142 0.9930 Sn
0.4618 0.5382 0.7500 H
0.5382 0.4618 0.2500 H
```

Top 8 peaks for 10 to 80 degrees two-theta, low angle first:
2θ (°)	Rel. int.
25.30	35
26.75	76
27.84	64
28.43	39
29.43	100
30.43	57
32.23	94
32.50	64

---

(2)
Simulated XRD peak list
Compound: Pa2InO6
Radiation: Cu Kα, 1.54184 Å
Structure: a structure optimized by DFT (PBE)

Atomic structure:
```
Pa2InO6
1.0
5.3370 0.0000 0.0000
0.0000 5.8235 0.0000
0.0000 0.0000 9.4995
Pa In O
4 2 12
direct
0.0000 0.0000 0.1903 Pa
0.0000 0.0000 0.8097 Pa
0.5000 0.5000 0.3097 Pa
0.5000 0.5000 0.6903 Pa
0.0000 0.5000 0.0000 In
0.5000 0.0000 0.5000 In
0.1788 0.1618 0.0000 O
0.2215 0.6663 0.1702 O
0.2215 0.6663 0.8298 O
0.2785 0.1663 0.3298 O
0.2785 0.1663 0.6702 O
0.3212 0.6618 0.5000 O
0.6788 0.3382 0.5000 O
0.7215 0.8337 0.3298 O
0.7215 0.8337 0.6702 O
0.7785 0.3337 0.1702 O
0.7785 0.3337 0.8298 O
0.8212 0.8382 0.0000 O
```

Top 8 peaks for 10 to 80 degrees two-theta, low angle first:
2θ (°)	Rel. int.
19.07	70
22.60	56
29.48	100
30.71	32
32.18	47
46.14	29
47.20	47
53.84	27

---

(3)
Simulated XRD peak list
Compound: P3Ru
Radiation: Cu Kα, 1.54184 Å
Structure: a structure optimized by DFT (PBE)

Atomic structure:
```
P3Ru
1.0
4.0331 0.0000 0.0000
0.4033 4.3237 0.0000
1.9977 1.6094 3.6572
P Ru
3 1
direct
0.0000 0.0000 0.0000 P
0.0075 0.5024 0.4155 P
0.2871 0.7811 0.5822 P
0.4637 0.2825 0.0022 Ru
```

Top 8 peaks for 10 to 80 degrees two-theta, low angle first:
2θ (°)	Rel. int.
22.47	44
24.34	46
25.66	78
25.82	37
29.21	100
39.13	50
39.73	45
41.82	42

---

(4)
Simulated XRD peak list
Compound: Tb3Tl4SnTe8
Radiation: Cu Kα, 1.54184 Å
Structure: a structure optimized by DFT (PBE)

Atomic structure:
```
Tb3Tl4SnTe8
1.0
4.4948 2.5951 8.0243
-4.4948 2.5951 8.0243
0.0000 -5.1902 8.0243
Tb Tl Sn Te
3 4 1 8
direct
0.0000 0.5000 0.5000 Tb
0.5000 0.0000 0.5000 Tb
0.5000 0.5000 0.0000 Tb
0.0000 0.0000 0.5000 Tl
0.0000 0.5000 0.0000 Tl
0.5000 0.0000 0.0000 Tl
0.5000 0.5000 0.5000 Tl
0.0000 0.0000 0.0000 Sn
0.2397 0.2397 0.7353 Te
0.2397 0.7353 0.2397 Te
0.2612 0.2612 0.2612 Te
0.2647 0.7603 0.7603 Te
0.7353 0.2397 0.2397 Te
0.7388 0.7388 0.7388 Te
0.7603 0.2647 0.7603 Te
0.7603 0.7603 0.2647 Te
```

Top 8 peaks for 10 to 80 degrees two-theta, low angle first:
2θ (°)	Rel. int.
27.28	100
37.79	38
40.12	37
49.20	20
56.29	12
62.01	15
65.29	17
71.36	12

---

(5)
Simulated XRD peak list
Compound: Ac6PSe5
Radiation: Cu Kα, 1.54184 Å
Structure: a structure optimized by DFT (PBE)

Atomic structure:
```
Ac6PSe5
1.0
3.8643 -6.6968 0.0000
3.8643 6.6968 0.0000
-2.5735 0.0000 7.2927
Ac P Se
6 1 5
direct
0.0807 0.4026 0.7417 Ac
0.2413 0.2413 0.2571 Ac
0.4026 0.0807 0.7417 Ac
0.5974 0.9193 0.2583 Ac
0.7587 0.7587 0.7429 Ac
0.9193 0.5974 0.2583 Ac
0.0000 0.0000 0.5000 P
0.1696 0.8304 0.0000 Se
0.3335 0.6665 0.5000 Se
0.5000 0.5000 0.0000 Se
0.6665 0.3335 0.5000 Se
0.8304 0.1696 0.0000 Se
```

Top 8 peaks for 10 to 80 degrees two-theta, low angle first:
2θ (°)	Rel. int.
24.42	48
28.27	100
40.41	77
47.78	23
50.05	27
58.48	13
66.20	35
73.48	26

---

(6)
Simulated XRD peak list
Compound: Tb2DyGa6
Radiation: Cu Kα, 1.54184 Å
Structure: a structure optimized by DFT (PBE)

Atomic structure:
```
Tb2DyGa6
1.0
7.2966 0.0000 0.0000
-3.6483 6.3190 0.0000
0.0000 0.0000 4.1312
Tb Dy Ga
2 1 6
direct
0.3333 0.6667 0.0000 Tb
0.6667 0.3333 0.0000 Tb
0.0000 0.0000 0.0000 Dy
0.0000 0.3331 0.5000 Ga
0.0000 0.6669 0.5000 Ga
0.3331 0.0000 0.5000 Ga
0.3331 0.3331 0.5000 Ga
0.6669 0.0000 0.5000 Ga
0.6669 0.6669 0.5000 Ga
```

Top 8 peaks for 10 to 80 degrees two-theta, low angle first:
2θ (°)	Rel. int.
24.40	14
32.75	100
42.94	41
43.83	13
55.03	23
63.03	26
72.23	20
73.51	9

---

(7)
Simulated XRD peak list
Compound: Ac5In3Ni3
Radiation: Cu Kα, 1.54184 Å
Structure: a structure optimized by DFT (PBE)

Atomic structure:
```
Ac5In3Ni3
1.0
9.2490 0.0000 0.0000
-4.6245 8.0099 0.0000
0.0000 0.0000 4.8543
Ac In Ni
5 3 3
direct
0.0000 0.2386 0.0000 Ac
0.2386 0.0000 0.0000 Ac
0.3333 0.6667 0.0000 Ac
0.6667 0.3333 0.0000 Ac
0.7614 0.7614 0.0000 Ac
0.0000 0.5875 0.5000 In
0.4125 0.4125 0.5000 In
0.5875 0.0000 0.5000 In
0.0000 0.6446 0.0000 Ni
0.3554 0.3554 0.0000 Ni
0.6446 0.0000 0.0000 Ni
```

Top 8 peaks for 10 to 80 degrees two-theta, low angle first:
2θ (°)	Rel. int.
18.28	67
26.62	58
28.90	59
29.50	100
33.56	41
34.93	56
37.04	36
48.04	53

---

(8)
Simulated XRD peak list
Compound: Ti4Pb2O9F2
Radiation: Cu Kα, 1.54184 Å
Structure: a structure optimized by DFT (PBE)

Atomic structure:
```
Ti4Pb2O9F2
1.0
7.5054 -1.9208 0.0000
7.5054 1.9208 0.0000
-7.2126 0.0000 7.6085
Ti Pb O F
4 2 9 2
direct
0.1217 0.1217 0.0479 Ti
0.1579 0.1579 0.7268 Ti
0.8421 0.8421 0.2732 Ti
0.8783 0.8783 0.9521 Ti
0.4152 0.4152 0.6612 Pb
0.5848 0.5848 0.3388 Pb
0.0000 0.0000 0.5000 O
0.0624 0.0624 0.1616 O
0.1164 0.1164 0.8495 O
0.3027 0.3027 0.2552 O
0.3504 0.3504 0.9296 O
0.6496 0.6496 0.0704 O
0.6973 0.6973 0.7448 O
0.8836 0.8836 0.1505 O
0.9376 0.9376 0.8384 O
0.2128 0.2128 0.5619 F
0.7872 0.7872 0.4381 F
```

Top 8 peaks for 10 to 80 degrees two-theta, low angle first:
2θ (°)	Rel. int.
11.80	39
16.92	52
26.08	43
26.68	40
29.64	100
29.78	61
29.91	71
30.05	73

---

Number 6 is which compound? Tb2DyGa6

---

Number 5 is which compound? Ac6PSe5